Starting from a GGA-PBE-relaxed structure, the powder XRD pattern of PtO2 was simulated for a wavelength of 1.5418 Å.

Crystal structure
Cell: 3.163 3.163 9.562 Å, 90.00 90.00 120.00°
Sites, in units of the cell vectors:
Pt 0.333 0.667 0.000
Pt 0.667 0.333 0.500
O 0.000 0.000 0.099
O 0.000 0.000 0.599
O 0.333 0.667 0.401
O 0.667 0.333 0.901

Most intense lines, 2θ = 10–80°, in order of rising 2θ:
2theta	I (rel.)
18.56	100
32.69	14
34.05	78
37.63	11
37.85	23
43.56	48
58.35	17
58.90	22
61.79	24
71.53	12